Computed powder XRD pattern
Compound: Pm5Er12Th2
Radiation: Cu Kα
Structure: the GGA-PBE geometry in Alexandria
Peak positions follow from Bragg's law for the DFT cell and can differ from measured ones.

Cell and atoms:
```
19
Lattice="6.062 0.000 0.000 0.168 9.666 0.000 1.447 3.855 10.480" Properties=species:S:1:pos:R:3 pbc="T T T"
Pm 0.000 0.000 0.000
Pm 1.294 10.592 3.621
Pm 3.334 5.018 1.748
Pm 4.342 8.503 8.733
Pm 6.383 2.928 6.859
Er 1.318 9.131 6.926
Er 0.489 3.194 0.366
Er 2.171 5.847 7.567
Er 3.595 11.818 8.234
Er 2.858 8.310 1.090
Er 3.327 3.683 5.062
Er 4.349 9.838 5.418
Er 4.818 5.211 9.390
Er 4.081 1.702 2.247
Er 5.506 7.673 2.913
Er 7.187 10.327 10.115
Er 6.359 4.389 3.554
Th 2.377 7.082 4.420
Th 5.300 6.438 6.060
```

Main lines, by angle (2θ = 10–90°):
- 28.54 deg, d 3.128, intensity 23
- 30.79 deg, d 2.904, intensity 49
- 31.25 deg, d 2.862, intensity 83
- 31.76 deg, d 2.818, intensity 57
- 32.31 deg, d 2.771, intensity 32
- 32.45 deg, d 2.759, intensity 44
- 33.60 deg, d 2.667, intensity 100
- 35.69 deg, d 2.516, intensity 32

Computed powder XRD pattern
Compound: Tb4InGa
Radiation: Cu Kα
Structure: the GGA-PBE geometry in Alexandria
Peak positions follow from Bragg's law for the DFT cell and can differ from measured ones.

Cell and atoms:
```
6
Lattice="5.075 0.000 0.000 0.000 5.075 0.000 0.000 0.000 7.246" Properties=species:S:1:pos:R:3 pbc="T T T"
Tb 0.000 2.538 1.726
Tb 0.000 2.538 5.520
Tb 2.538 0.000 1.726
Tb 2.538 0.000 5.520
In 0.000 0.000 3.623
Ga 2.538 2.538 0.000
```

Main lines, by angle (2θ = 10–90°):
- 21.37 deg, d 4.157, intensity 20
- 24.57 deg, d 3.623, intensity 18
- 24.81 deg, d 3.589, intensity 36
- 35.20 deg, d 2.550, intensity 100
- 35.37 deg, d 2.538, intensity 50
- 50.89 deg, d 1.794, intensity 18
- 63.05 deg, d 1.474, intensity 17
- 63.38 deg, d 1.467, intensity 36

Computed powder XRD pattern
Compound: PmHg4Au
Radiation: Cu Kα
Structure: the GGA-PBE geometry in Alexandria
Peak positions follow from Bragg's law for the DFT cell and can differ from measured ones.

Cell and atoms:
```
12
Lattice="2.528 -8.290 0.000 2.528 8.290 0.000 0.000 0.000 7.122" Properties=species:S:1:pos:R:3 pbc="T T T"
Pm 2.528 5.418 3.561
Pm 2.528 -5.418 0.000
Hg 2.528 8.169 5.693
Hg 2.528 5.092 6.851
Hg 2.528 2.355 4.849
Hg 2.528 0.543 0.258
Hg 2.528 -0.543 3.819
Hg 2.528 -2.355 1.288
Hg 2.528 -5.092 3.290
Hg 2.528 -8.169 2.132
Au 2.528 2.965 1.806
Au 2.528 -2.965 5.367
```

Main lines, by angle (2θ = 10–90°):
- 31.19 deg, d 2.868, intensity 16
- 32.40 deg, d 2.763, intensity 22
- 34.71 deg, d 2.584, intensity 12
- 34.83 deg, d 2.576, intensity 100
- 35.50 deg, d 2.528, intensity 34
- 48.82 deg, d 1.865, intensity 14
- 50.59 deg, d 1.804, intensity 8
- 63.31 deg, d 1.469, intensity 19